1.
Simulated XRD peak list
Compound: Tl6SnHg5
Radiation: Cu Kα X-rays
Structure: a DFT-relaxed cell (GGA-PBE, Alexandria)
Neutral-atom scattering factors, no anomalous dispersion.

Crystal structure
Cell: 5.424 7.723 9.399 Å, 68.38 74.26 89.44°
Fractional coordinates of all 12 atoms:
Tl 0.002 0.256 0.495
Tl 0.344 0.586 0.829
Tl 0.347 0.091 0.822
Tl 0.653 0.909 0.178
Tl 0.656 0.414 0.171
Tl 0.998 0.744 0.505
Sn 0.500 0.500 0.500
Hg 0.161 0.677 0.163
Hg 0.162 0.174 0.157
Hg 0.500 0.000 0.500
Hg 0.838 0.826 0.843
Hg 0.839 0.323 0.837

Top 6 peaks for 5 to 70 degrees two-theta, by angle:
31.81 deg, rel. 100
32.09 deg, rel. 96
32.41 deg, rel. 94
33.04 deg, rel. 90
33.20 deg, rel. 89
33.38 deg, rel. 88

2.
Simulated XRD peak list
Compound: Tl16Hg12Au
Radiation: Cu Kα X-rays
Structure: a DFT-relaxed cell (GGA-PBE, Alexandria)
Neutral-atom scattering factors, no anomalous dispersion.

Crystal structure
Cell: 10.249 10.249 10.278 Å, 109.48 109.48 109.27°
Fractional coordinates of all 29 atoms:
Tl 0.000 0.000 0.000
Tl 0.001 0.001 0.350
Tl 0.009 0.311 0.601
Tl 0.010 0.612 0.336
Tl 0.014 0.369 0.010
Tl 0.287 0.678 0.692
Tl 0.311 0.009 0.601
Tl 0.355 0.584 0.990
Tl 0.369 0.014 0.010
Tl 0.411 0.716 0.419
Tl 0.584 0.355 0.990
Tl 0.605 0.605 0.673
Tl 0.612 0.010 0.336
Tl 0.678 0.287 0.692
Tl 0.701 0.701 0.321
Tl 0.716 0.411 0.419
Hg 0.005 0.812 0.659
Hg 0.011 0.615 0.822
Hg 0.172 0.359 0.369
Hg 0.185 0.185 0.825
Hg 0.214 0.807 0.187
Hg 0.359 0.172 0.369
Hg 0.375 0.375 0.197
Hg 0.615 0.011 0.822
Hg 0.654 0.840 0.024
Hg 0.807 0.214 0.187
Hg 0.812 0.005 0.659
Hg 0.840 0.654 0.024
Au 0.363 0.363 0.695

Top 6 peaks for 5 to 70 degrees two-theta, by angle:
32.01 deg, rel. 100
32.08 deg, rel. 46
35.46 deg, rel. 22
35.57 deg, rel. 22
57.03 deg, rel. 20
57.10 deg, rel. 16

3.
Simulated XRD peak list
Compound: SiNiHgPH
Radiation: Cu Kα X-rays
Structure: a DFT-relaxed cell (GGA-PBE, Alexandria)
Neutral-atom scattering factors, no anomalous dispersion.

Crystal structure
Cell: 3.761 3.858 6.138 Å, 93.02 101.91 104.91°
Fractional coordinates of all 5 atoms:
Si 0.000 0.000 0.000
Ni 0.596 0.350 0.928
Hg 0.997 0.746 0.383
P 0.091 0.551 0.775
H 0.441 0.207 0.140

Top 6 peaks for 5 to 70 degrees two-theta, by angle:
24.02 deg, rel. 30
25.17 deg, rel. 43
26.19 deg, rel. 50
26.87 deg, rel. 41
29.76 deg, rel. 100
29.94 deg, rel. 48